This entry pairs a crystal structure of AcNpSeS2 with its simulated PXRD pattern. Radiation: Cu Kα (weighted mean of Kα1 and Kα2). Structure: a crystal structure in Alexandria, relaxed with GGA-PBE.
Lines closer than 0.1° are merged.

Cell and atoms:
```
10
Lattice="4.496 0.000 0.000 0.000 4.496 0.000 0.000 0.000 13.879" Properties=species:S:1:pos:R:3 pbc="T T T"
Ac 0.000 0.000 0.000
Ac 2.248 2.248 6.940
Np 0.000 0.000 3.694
Np 2.248 2.248 10.633
Se 0.000 0.000 8.601
Se 2.248 2.248 1.662
S 0.000 2.248 5.098
S 0.000 2.248 12.038
S 2.248 0.000 5.098
S 2.248 0.000 12.038
```

Principal peaks in the range 2θ from 10° to 90°, low angle first:
h k l  d (Å)  2theta  I/Imax
1 0 1  4.278  20.77  50
1 0 3  3.224  27.67  100
1 1 0  3.179  28.06  53
1 1 4  2.344  38.40  40
2 0 0  2.248  40.11  34
2 1 3  1.844  49.42  42